(1)
Starting from DFT lattice parameters and positions (PBE), the X-ray diffraction stick pattern of Cr4Re was calculated for λ = 1.5418 Å (Cu Kα).

Principal peaks in the range 2θ = 10–80°, low angle first:
h k l	2theta	d (Å)	I (rel.)
1 1 0	13.95	6.348	70
4 1 0	41.47	2.177	31
2 0 2	43.81	2.066	27
2 1 2	45.02	2.014	44
4 1 1	46.02	1.972	100
3 3 1	47.18	1.926	32

```
data_Cr4Re
_chemical_formula_sum 'Cr24 Re6'
_cell_length_a 8.977
_cell_length_b 8.977
_cell_length_c 4.655
_cell_angle_alpha 90.00
_cell_angle_beta 90.00
_cell_angle_gamma 90.00
_space_group_name_H-M_alt 'P 42/m n m'
_space_group_IT_number 136
_space_group_name_Hall '-P 4n 2n'
loop_
_atom_site_label
_atom_site_type_symbol
_atom_site_fract_x
_atom_site_fract_y
_atom_site_fract_z
_atom_site_occupancy
Cr1 Cr 0.035 0.376 0.000 1
Cr2 Cr 0.065 0.266 0.500 1
Cr3 Cr 0.186 0.814 0.245 1
Re1 Re 0.000 0.000 0.500 1
Re2 Re 0.109 0.109 0.000 1
```

***

(2)
Starting from DFT lattice parameters and positions (PBE), the X-ray diffraction stick pattern of Ho2Mg3Cu4 was calculated for λ = 1.5418 Å (Cu Kα).

Principal peaks in the range 2θ = 10–80°, low angle first:
h k l	2theta	d (Å)	I (rel.)
0 4 0	21.08	4.214	80
1 5 1	33.29	2.691	100
1 3 2	33.79	2.653	77
2 2 1	35.23	2.548	79
0 2 3	39.82	2.264	61
2 0 2	40.37	2.234	64

```
data_Ho2Mg3Cu4
_chemical_formula_sum 'Ho8 Mg12 Cu16'
_cell_length_a 5.777
_cell_length_b 16.857
_cell_length_c 7.050
_cell_angle_alpha 90.00
_cell_angle_beta 90.00
_cell_angle_gamma 90.00
_space_group_name_H-M_alt 'C m c e'
_space_group_IT_number 64
_space_group_name_Hall '-C 2ac 2'
loop_
_atom_site_label
_atom_site_type_symbol
_atom_site_fract_x
_atom_site_fract_y
_atom_site_fract_z
_atom_site_occupancy
Ho1 Ho 0.000 0.098 0.096 1
Mg1 Mg 0.000 0.000 0.500 1
Mg2 Mg 0.250 0.237 0.750 1
Cu1 Cu 0.000 0.156 0.487 1
Cu2 Cu 0.250 0.075 0.750 1
```